(1)
# Mg4Si7
Calculated powder X-ray diffraction pattern, λ = 1.5418 Å (Cu Kα). Input: a GGA-PBE-relaxed structure.

Structure:
```
data_Mg4Si7
_chemical_formula_sum 'Mg8 Si14'
_space_group_name_H-M_alt 'P 1 m 1'
_space_group_IT_number 6
_space_group_name_Hall 'P -2y'
_cell_length_a 7.090
_cell_length_b 3.946
_cell_length_c 14.744
_cell_angle_alpha 90.00
_cell_angle_beta 101.64
_cell_angle_gamma 90.00
loop_
_atom_site_label
_atom_site_fract_x
_atom_site_fract_y
_atom_site_fract_z
Mg1 0.000 0.000 0.000
Mg2 0.020 0.000 0.332
Mg3 0.257 0.000 0.560
Mg4 0.330 0.500 0.748
Mg5 0.371 0.500 0.415
Mg6 0.457 0.000 0.247
Mg7 0.706 0.000 0.478
Mg8 0.943 0.500 0.832
Si1 0.008 0.500 0.459
Si2 0.014 0.000 0.700
Si3 0.167 0.500 0.239
Si4 0.223 0.000 0.867
Si5 0.257 0.500 0.094
Si6 0.406 0.000 0.042
Si7 0.562 0.000 0.860
Si8 0.568 0.500 0.605
Si9 0.649 0.000 0.709
Si10 0.693 0.500 0.951
Si11 0.708 0.500 0.343
Si12 0.739 0.000 0.103
Si13 0.817 0.500 0.199
Si14 0.919 0.500 0.605
```

The 12 most intense peaks (10 to 80 degrees two-theta), in order of rising 2θ:
23.37°, I = 19.8, hkl 0 1 1; 33.56°, I = 100.0, hkl 1 1 3; 34.01°, I = 16.8, hkl 2 1 -1; 34.77°, I = 22.3, hkl 2 1 -2; 35.92°, I = 34.6, hkl 2 1 1; 36.22°, I = 18.4, hkl 2 0 -5; 36.63°, I = 41.9, hkl 2 1 -3; 38.68°, I = 69.5, hkl 1 1 -5; 39.65°, I = 16.9, hkl 3 0 -3; 44.07°, I = 17.2, hkl 0 1 6; 45.99°, I = 68.1, hkl 0 2 0; 49.43°, I = 17.5, hkl 3 1 2


(2)
# Mg4Si7
Calculated powder X-ray diffraction pattern, λ = 1.5418 Å (Cu Kα). Input: a GGA-PBE-relaxed structure.

Structure:
```
data_Mg4Si7
_chemical_formula_sum 'Mg8 Si14'
_space_group_name_H-M_alt 'C 1 2/m 1'
_space_group_IT_number 12
_space_group_name_Hall '-C 2y'
_cell_length_a 16.078
_cell_length_b 3.652
_cell_length_c 6.768
_cell_angle_alpha 90.00
_cell_angle_beta 90.38
_cell_angle_gamma 90.00
loop_
_atom_site_label
_atom_site_fract_x
_atom_site_fract_y
_atom_site_fract_z
Mg1 0.079 0.000 0.399
Mg2 0.165 0.000 0.993
Si1 0.000 0.000 0.000
Si2 0.045 0.500 0.758
Si3 0.190 0.500 0.658
Si4 0.212 0.500 0.290
```

The 12 most intense peaks (10 to 80 degrees two-theta), in order of rising 2θ:
32.53°, I = 81.3, hkl 3 1 1; 34.53°, I = 24.0, hkl 4 0 -2; 36.13°, I = 21.4, hkl 6 0 1; 36.65°, I = 100.0, hkl 1 1 2; 37.26°, I = 23.2, hkl 5 1 0; 39.58°, I = 49.8, hkl 5 1 -1; 39.96°, I = 39.7, hkl 0 0 3; 46.05°, I = 30.9, hkl 4 0 -3; 46.30°, I = 22.2, hkl 4 0 3; 47.27°, I = 17.0, hkl 8 0 1; 48.65°, I = 19.7, hkl 7 1 -1; 49.94°, I = 39.6, hkl 0 2 0


(3)
# Mg4Si3
Calculated powder X-ray diffraction pattern, λ = 1.5418 Å (Cu Kα). Input: a GGA-PBE-relaxed structure.

Structure:
```
data_Mg4Si3
_chemical_formula_sum 'Mg8 Si6'
_space_group_name_H-M_alt 'P 1'
_space_group_IT_number 1
_space_group_name_Hall 'P 1'
_cell_length_a 5.547
_cell_length_b 7.219
_cell_length_c 7.514
_cell_angle_alpha 108.51
_cell_angle_beta 95.23
_cell_angle_gamma 106.75
loop_
_atom_site_label
_atom_site_fract_x
_atom_site_fract_y
_atom_site_fract_z
Mg1 0.000 0.000 0.000
Mg2 0.006 0.243 0.405
Mg3 0.401 0.503 0.843
Mg4 0.414 0.895 0.232
Mg5 0.455 0.664 0.501
Mg6 0.593 0.329 0.148
Mg7 0.813 0.197 0.754
Mg8 0.954 0.638 0.659
Si1 0.146 0.430 0.142
Si2 0.233 0.040 0.623
Si3 0.453 0.926 0.863
Si4 0.532 0.291 0.498
Si5 0.871 0.826 0.354
Si6 0.907 0.618 0.035
```

The 12 most intense peaks (10 to 80 degrees two-theta), in order of rising 2θ:
32.67°, I = 100.0, hkl -1 1 2; 34.47°, I = 47.5, hkl 2 0 0; 34.60°, I = 92.0, hkl 0 2 1; 35.74°, I = 86.7, hkl 2 -1 1; 36.96°, I = 59.7, hkl 1 2 -2; 37.43°, I = 48.6, hkl 1 2 0; 37.84°, I = 47.1, hkl 1 -3 1; 38.70°, I = 62.5, hkl 0 2 -3; 38.79°, I = 47.1, hkl 2 0 -2; 40.59°, I = 57.2, hkl 0 3 -2; 44.78°, I = 54.0, hkl 2 -3 0; 45.81°, I = 61.9, hkl 1 0 3


(4)
# Mg5Si6
Calculated powder X-ray diffraction pattern, λ = 1.5418 Å (Cu Kα). Input: a GGA-PBE-relaxed structure.

Structure:
```
data_Mg5Si6
_chemical_formula_sum 'Mg10 Si12'
_space_group_name_H-M_alt 'P 1'
_space_group_IT_number 1
_space_group_name_Hall 'P 1'
_cell_length_a 5.480
_cell_length_b 5.738
_cell_length_c 12.770
_cell_angle_alpha 89.80
_cell_angle_beta 88.47
_cell_angle_gamma 87.76
loop_
_atom_site_label
_atom_site_fract_x
_atom_site_fract_y
_atom_site_fract_z
Mg1 0.000 0.000 0.000
Mg2 0.008 0.505 0.602
Mg3 0.282 0.507 0.169
Mg4 0.477 0.236 0.938
Mg5 0.491 0.758 0.625
Mg6 0.506 0.737 0.974
Mg7 0.535 0.255 0.666
Mg8 0.642 0.423 0.398
Mg9 0.788 0.751 0.201
Mg10 0.838 0.908 0.437
Si1 0.002 0.172 0.267
Si2 0.008 0.504 0.988
Si3 0.027 0.012 0.625
Si4 0.134 0.480 0.384
Si5 0.215 0.976 0.799
Si6 0.235 0.543 0.801
Si7 0.321 0.125 0.478
Si8 0.346 0.996 0.162
Si9 0.377 0.828 0.342
Si10 0.705 0.269 0.136
Si11 0.764 0.946 0.803
Si12 0.799 0.516 0.813
```

The 12 most intense peaks (10 to 80 degrees two-theta), in order of rising 2θ:
34.75°, I = 25.8, hkl 1 2 0; 35.15°, I = 50.4, hkl 0 0 5; 35.58°, I = 29.3, hkl 1 2 -1; 35.92°, I = 52.7, hkl 1 -2 0; 36.08°, I = 35.1, hkl 2 0 -2; 36.70°, I = 28.3, hkl -1 2 1; 37.83°, I = 63.2, hkl 1 2 -2; 38.64°, I = 77.2, hkl 2 0 3; 38.84°, I = 39.0, hkl -1 2 2; 39.62°, I = 100.0, hkl 2 0 -3; 40.61°, I = 37.6, hkl 1 2 3; 42.49°, I = 28.1, hkl 0 0 6


(5)
# Mg3Si4
Calculated powder X-ray diffraction pattern, λ = 1.5418 Å (Cu Kα). Input: a GGA-PBE-relaxed structure.

Structure:
```
data_Mg3Si4
_chemical_formula_sum 'Mg6 Si8'
_space_group_name_H-M_alt 'P 1'
_space_group_IT_number 1
_space_group_name_Hall 'P 1'
_cell_length_a 4.409
_cell_length_b 8.124
_cell_length_c 8.242
_cell_angle_alpha 111.23
_cell_angle_beta 96.76
_cell_angle_gamma 101.08
loop_
_atom_site_label
_atom_site_fract_x
_atom_site_fract_y
_atom_site_fract_z
Mg1 0.000 0.000 0.000
Mg2 0.016 0.303 0.769
Mg3 0.221 0.018 0.466
Mg4 0.306 0.706 0.750
Mg5 0.489 0.802 0.156
Mg6 0.641 0.410 0.107
Si1 0.155 0.314 0.299
Si2 0.243 0.638 0.363
Si3 0.465 0.077 0.824
Si4 0.527 0.401 0.613
Si5 0.629 0.186 0.317
Si6 0.753 0.922 0.622
Si7 0.756 0.608 0.483
Si8 0.843 0.630 0.935
```

The 12 most intense peaks (10 to 80 degrees two-theta), in order of rising 2θ:
11.77°, I = 28.8, hkl 0 0 1; 21.89°, I = 24.4, hkl 0 1 -2; 31.74°, I = 100.0, hkl 1 -1 2; 33.12°, I = 30.7, hkl 1 -2 2; 34.82°, I = 47.8, hkl 1 2 -2; 35.01°, I = 55.3, hkl 1 0 2; 36.86°, I = 95.8, hkl 1 1 -3; 37.57°, I = 67.5, hkl 1 -3 0; 40.61°, I = 79.0, hkl 0 2 2; 41.27°, I = 28.0, hkl 2 -1 0; 41.90°, I = 65.4, hkl 2 0 -1; 43.83°, I = 44.0, hkl 1 3 -1


(6)
# Mg4Si3
Calculated powder X-ray diffraction pattern, λ = 1.5418 Å (Cu Kα). Input: a GGA-PBE-relaxed structure.

Structure:
```
data_Mg4Si3
_chemical_formula_sum 'Mg8 Si6'
_space_group_name_H-M_alt 'P 1'
_space_group_IT_number 1
_space_group_name_Hall 'P 1'
_cell_length_a 5.679
_cell_length_b 6.328
_cell_length_c 8.486
_cell_angle_alpha 105.76
_cell_angle_beta 105.66
_cell_angle_gamma 100.28
loop_
_atom_site_label
_atom_site_fract_x
_atom_site_fract_y
_atom_site_fract_z
Mg1 0.000 0.000 0.000
Mg2 0.013 0.664 0.536
Mg3 0.395 0.355 0.371
Mg4 0.457 0.012 0.905
Mg5 0.485 0.836 0.273
Mg6 0.538 0.504 0.789
Mg7 0.907 0.504 0.113
Mg8 0.932 0.184 0.631
Si1 0.032 0.933 0.317
Si2 0.103 0.603 0.867
Si3 0.352 0.411 0.043
Si4 0.379 0.074 0.582
Si5 0.618 0.807 0.631
Si6 0.805 0.211 0.274
```

The 12 most intense peaks (10 to 80 degrees two-theta), in order of rising 2θ:
33.12°, I = 100.0, hkl 0 1 -3; 34.07°, I = 27.9, hkl 2 0 0; 35.70°, I = 22.2, hkl 1 2 -1; 36.30°, I = 32.7, hkl 0 2 1; 38.04°, I = 24.0, hkl 0 2 -3; 39.79°, I = 33.7, hkl -1 1 3; 40.77°, I = 31.7, hkl -2 2 1; 42.02°, I = 49.2, hkl 2 1 -3; 44.36°, I = 29.7, hkl 0 3 -2; 44.89°, I = 21.8, hkl 1 -3 0; 46.73°, I = 29.9, hkl 2 -2 2; 64.49°, I = 19.2, hkl 1 -1 5


(7)
# Mg5Si6
Calculated powder X-ray diffraction pattern, λ = 1.5418 Å (Cu Kα). Input: a GGA-PBE-relaxed structure.

Structure:
```
data_Mg5Si6
_chemical_formula_sum 'Mg10 Si12'
_space_group_name_H-M_alt 'C 1 2/m 1'
_space_group_IT_number 12
_space_group_name_Hall '-C 2y'
_cell_length_a 15.355
_cell_length_b 4.015
_cell_length_c 6.959
_cell_angle_alpha 90.00
_cell_angle_beta 110.80
_cell_angle_gamma 90.00
loop_
_atom_site_label
_atom_site_fract_x
_atom_site_fract_y
_atom_site_fract_z
Mg1 0.000 0.000 0.000
Mg2 0.077 0.500 0.371
Mg3 0.156 0.500 0.936
Si1 0.058 0.000 0.670
Si2 0.192 0.000 0.259
Si3 0.207 0.000 0.630
```

The 12 most intense peaks (10 to 80 degrees two-theta), in order of rising 2θ:
13.61°, I = 21.3, hkl 0 0 1; 34.29°, I = 20.1, hkl 1 1 -2; 35.01°, I = 100.0, hkl 3 1 1; 35.29°, I = 79.0, hkl 3 1 -2; 36.95°, I = 64.8, hkl 5 1 -1; 37.81°, I = 62.6, hkl 1 1 2; 37.96°, I = 22.9, hkl 6 0 -2; 38.55°, I = 51.6, hkl 5 1 0; 40.23°, I = 33.5, hkl 4 0 -3; 41.65°, I = 33.3, hkl 0 0 3; 45.17°, I = 62.9, hkl 0 2 0; 63.11°, I = 18.6, hkl 0 2 3


(8)
# Mg4Si3
Calculated powder X-ray diffraction pattern, λ = 1.5418 Å (Cu Kα). Input: a GGA-PBE-relaxed structure.

Structure:
```
data_Mg4Si3
_chemical_formula_sum 'Mg16 Si12'
_space_group_name_H-M_alt 'C 1 2 1'
_space_group_IT_number 5
_space_group_name_Hall 'C 2y'
_cell_length_a 14.193
_cell_length_b 5.775
_cell_length_c 7.344
_cell_angle_alpha 90.00
_cell_angle_beta 119.12
_cell_angle_gamma 90.00
loop_
_atom_site_label
_atom_site_fract_x
_atom_site_fract_y
_atom_site_fract_z
Mg1 0.078 0.000 0.232
Mg2 0.096 0.500 0.929
Mg3 0.201 0.252 0.685
Mg4 0.207 0.754 0.692
Si1 0.000 0.529 0.500
Si2 0.000 0.978 0.500
Si3 0.129 0.503 0.328
Si4 0.149 0.002 0.941
```

The 12 most intense peaks (10 to 80 degrees two-theta), in order of rising 2θ:
30.97°, I = 42.6, hkl 0 2 0; 34.26°, I = 63.9, hkl 2 2 0; 35.42°, I = 29.1, hkl 5 1 -1; 37.21°, I = 65.0, hkl 2 0 -3; 37.73°, I = 28.9, hkl 4 0 -3; 37.89°, I = 53.3, hkl 4 0 1; 38.70°, I = 77.9, hkl 6 0 -2; 39.75°, I = 100.0, hkl 2 2 -2; 40.27°, I = 27.8, hkl 4 2 -1; 42.77°, I = 53.2, hkl 4 2 -2; 49.20°, I = 29.0, hkl 2 2 -3; 49.58°, I = 25.1, hkl 4 2 -3


(9)
# Mg2Si3
Calculated powder X-ray diffraction pattern, λ = 1.5418 Å (Cu Kα). Input: a GGA-PBE-relaxed structure.

Structure:
```
data_Mg2Si3
_chemical_formula_sum 'Mg8 Si12'
_space_group_name_H-M_alt 'P 1'
_space_group_IT_number 1
_space_group_name_Hall 'P 1'
_cell_length_a 4.539
_cell_length_b 5.472
_cell_length_c 15.464
_cell_angle_alpha 91.59
_cell_angle_beta 97.49
_cell_angle_gamma 113.59
loop_
_atom_site_label
_atom_site_fract_x
_atom_site_fract_y
_atom_site_fract_z
Mg1 0.000 0.000 0.000
Mg2 0.012 0.206 0.809
Mg3 0.156 0.823 0.484
Mg4 0.225 0.120 0.320
Mg5 0.287 0.593 0.980
Mg6 0.299 0.434 0.172
Mg7 0.414 0.152 0.678
Mg8 0.478 0.448 0.510
Si1 0.101 0.535 0.644
Si2 0.299 0.778 0.803
Si3 0.540 0.747 0.349
Si4 0.546 0.179 0.914
Si5 0.585 0.005 0.186
Si6 0.699 0.324 0.073
Si7 0.717 0.738 0.688
Si8 0.737 0.605 0.851
Si9 0.821 0.075 0.575
Si10 0.822 0.214 0.421
Si11 0.926 0.536 0.302
Si12 0.966 0.774 0.157
```

The 12 most intense peaks (10 to 80 degrees two-theta), in order of rising 2θ:
34.44°, I = 10.6, hkl 1 0 4; 35.23°, I = 34.9, hkl 0 0 6; 37.13°, I = 60.8, hkl 1 1 2; 37.98°, I = 89.0, hkl -1 2 3; 38.15°, I = 65.5, hkl 1 -2 3; 38.25°, I = 12.8, hkl 0 1 -6; 38.62°, I = 30.3, hkl 1 0 -6; 38.74°, I = 25.6, hkl 0 2 -3; 39.73°, I = 100.0, hkl -2 1 1; 40.25°, I = 15.0, hkl 1 1 3; 41.14°, I = 20.8, hkl -1 2 4; 41.37°, I = 18.3, hkl 1 -2 4


(10)
# Mg4Si3
Calculated powder X-ray diffraction pattern, λ = 1.5418 Å (Cu Kα). Input: a GGA-PBE-relaxed structure.

Structure:
```
data_Mg4Si3
_chemical_formula_sum 'Mg8 Si6'
_space_group_name_H-M_alt 'P -1'
_space_group_IT_number 2
_space_group_name_Hall '-P 1'
_cell_length_a 6.109
_cell_length_b 6.996
_cell_length_c 7.496
_cell_angle_alpha 111.89
_cell_angle_beta 105.53
_cell_angle_gamma 102.76
loop_
_atom_site_label
_atom_site_fract_x
_atom_site_fract_y
_atom_site_fract_z
Mg1 0.068 0.257 0.169
Mg2 0.252 0.908 0.294
Mg3 0.324 0.665 0.611
Mg4 0.372 0.144 0.914
Si1 0.044 0.183 0.504
Si2 0.183 0.478 0.908
Si3 0.492 0.370 0.704
```

The 12 most intense peaks (10 to 80 degrees two-theta), in order of rising 2θ:
14.79°, I = 25.7, hkl 0 1 -1; 34.20°, I = 51.8, hkl 1 -2 2; 34.96°, I = 100.0, hkl 1 1 1; 35.36°, I = 36.4, hkl 2 -2 0; 36.49°, I = 71.3, hkl 2 1 -2; 38.51°, I = 54.6, hkl -2 2 1; 38.84°, I = 88.5, hkl 1 0 -3; 40.17°, I = 38.5, hkl 0 3 -1; 40.39°, I = 28.1, hkl 0 3 -2; 41.70°, I = 25.2, hkl 1 -3 0; 44.57°, I = 30.1, hkl 1 -2 3; 46.36°, I = 35.1, hkl 3 -1 0


(11)
# Mg4Si7
Calculated powder X-ray diffraction pattern, λ = 1.5418 Å (Cu Kα). Input: a GGA-PBE-relaxed structure.

Structure:
```
data_Mg4Si7
_chemical_formula_sum 'Mg8 Si14'
_space_group_name_H-M_alt 'P 1'
_space_group_IT_number 1
_space_group_name_Hall 'P 1'
_cell_length_a 4.025
_cell_length_b 6.919
_cell_length_c 14.030
_cell_angle_alpha 89.32
_cell_angle_beta 89.26
_cell_angle_gamma 88.70
loop_
_atom_site_label
_atom_site_fract_x
_atom_site_fract_y
_atom_site_fract_z
Mg1 0.000 0.000 0.000
Mg2 0.001 0.504 0.920
Mg3 0.492 0.316 0.077
Mg4 0.522 0.510 0.730
Mg5 0.532 0.045 0.656
Mg6 0.549 0.440 0.490
Mg7 0.974 0.623 0.164
Mg8 0.991 0.147 0.231
Si1 0.007 0.087 0.482
Si2 0.015 0.196 0.778
Si3 0.015 0.689 0.600
Si4 0.017 0.825 0.762
Si5 0.040 0.329 0.616
Si6 0.064 0.656 0.371
Si7 0.448 0.430 0.277
Si8 0.488 0.691 0.021
Si9 0.493 0.936 0.139
Si10 0.501 0.137 0.377
Si11 0.501 0.819 0.507
Si12 0.507 0.198 0.883
Si13 0.511 0.837 0.865
Si14 0.554 0.821 0.305
```

The 12 most intense peaks (10 to 80 degrees two-theta), in order of rising 2θ:
34.54°, I = 59.3, hkl 1 2 -1; 35.19°, I = 27.9, hkl 1 -2 1; 35.88°, I = 47.1, hkl 1 1 4; 36.27°, I = 24.6, hkl 0 2 4; 36.48°, I = 100.0, hkl 1 -1 4; 36.67°, I = 42.0, hkl -1 1 4; 36.95°, I = 42.2, hkl 1 -2 2; 38.90°, I = 26.0, hkl 1 0 5; 39.38°, I = 30.8, hkl 1 0 -5; 39.71°, I = 28.2, hkl 0 3 -1; 41.07°, I = 29.5, hkl 0 3 2; 45.07°, I = 83.9, hkl 2 0 0


(12)
# Mg2Si3
Calculated powder X-ray diffraction pattern, λ = 1.5418 Å (Cu Kα). Input: a GGA-PBE-relaxed structure.

Structure:
```
data_Mg2Si3
_chemical_formula_sum 'Mg8 Si12'
_space_group_name_H-M_alt 'P 1'
_space_group_IT_number 1
_space_group_name_Hall 'P 1'
_cell_length_a 3.530
_cell_length_b 6.081
_cell_length_c 17.954
_cell_angle_alpha 93.11
_cell_angle_beta 95.64
_cell_angle_gamma 106.64
loop_
_atom_site_label
_atom_site_fract_x
_atom_site_fract_y
_atom_site_fract_z
Mg1 0.000 0.000 0.000
Mg2 0.008 0.272 0.754
Mg3 0.106 0.870 0.355
Mg4 0.347 0.197 0.498
Mg5 0.358 0.486 0.251
Mg6 0.390 0.699 0.097
Mg7 0.754 0.674 0.846
Mg8 0.774 0.952 0.606
Si1 0.014 0.834 0.207
Si2 0.018 0.444 0.602
Si3 0.104 0.708 0.502
Si4 0.118 0.353 0.905
Si5 0.304 0.886 0.731
Si6 0.450 0.055 0.864
Si7 0.481 0.554 0.410
Si8 0.634 0.582 0.692
Si9 0.658 0.103 0.232
Si10 0.669 0.249 0.100
Si11 0.739 0.499 0.993
Si12 0.814 0.268 0.366
```

The 12 most intense peaks (10 to 80 degrees two-theta), in order of rising 2θ:
35.60°, I = 100.0, hkl 1 1 1; 35.75°, I = 56.5, hkl -1 2 2; 35.91°, I = 55.8, hkl 1 1 -3; 36.04°, I = 56.2, hkl 1 -2 2; 38.28°, I = 72.2, hkl 0 2 -5; 39.03°, I = 91.2, hkl -1 1 6; 39.68°, I = 41.7, hkl 1 1 3; 39.83°, I = 44.0, hkl -1 2 4; 40.54°, I = 57.3, hkl 0 0 8; 41.95°, I = 46.8, hkl 1 -1 6; 46.76°, I = 52.5, hkl 1 -2 6; 51.80°, I = 80.6, hkl -2 1 1